Starting from a structure optimized by DFT (GGA-PBE), the XRD peak list of Sm5TmBi5 was simulated for Cu Kα X-rays.
Lines closer than 0.1° are merged.

Structure:
Lattice parameters (Å, degrees): 7.768 7.768 8.965 106.99 106.99 48.37
Fractional positions:
Sm1 0.000 0.000 0.000
Sm2 0.331 0.331 0.165
Sm3 0.338 0.338 0.673
Sm4 0.662 0.662 0.327
Sm5 0.669 0.669 0.835
Tm1 0.000 0.000 0.500
Bi1 0.164 0.164 0.830
Bi2 0.167 0.167 0.337
Bi3 0.500 0.500 0.500
Bi4 0.833 0.833 0.663
Bi5 0.836 0.836 0.170

Main lines, sorted by position (10° ≤ 2θ ≤ 90°):
28.08°, I = 100
28.24°, I = 49
40.17°, I = 78
40.27°, I = 38
49.79°, I = 42
72.95°, I = 21